Diffraction record for Tl4PbSe3. The XRD peak list is computed, not measured: it uses DFT lattice parameters and positions (GGA-PBE) and Cu Ka.
Neutral-atom scattering factors, no anomalous dispersion.

Principal peaks in the range 2θ = 5–70°, sorted by position:
hkl	d [Å]	2θ/deg	I/Imax
2 1 1	3.688	24.13	18
2 1 2	3.322	26.84	25
1 1 4	2.910	30.72	15
2 1 3	2.899	30.84	100
3 1 0	2.715	33.00	55
3 1 1	2.660	33.70	12
4 2 0	1.919	47.36	10
4 2 1	1.899	47.91	15
5 0 2	1.662	55.27	16
5 2 3	1.500	61.86	11

Crystal structure
```
data_Tl4PbSe3
_cell_length_a 8.5848
_cell_length_b 8.5848
_cell_length_c 13.2645
_cell_angle_alpha 90.00
_cell_angle_beta 90.00
_cell_angle_gamma 90.00
_symmetry_space_group_name_H-M 'P 4/n c c'
_symmetry_Int_Tables_number 130
loop_
_symmetry_equiv_pos_as_xyz
'x,y,z'
'-x,-y,-z'
'-y+1/2,x,z'
'y+1/2,-x,-z'
'-x+1/2,-y+1/2,z'
'x+1/2,y+1/2,-z'
'y,-x+1/2,z'
'-y,x+1/2,-z'
'x+1/2,-y,-z+1/2'
'-x+1/2,y,z+1/2'
'-y,-x,-z+1/2'
'y,x,z+1/2'
'-x,y+1/2,-z+1/2'
'x,-y+1/2,z+1/2'
'y+1/2,x+1/2,-z+1/2'
'-y+1/2,-x+1/2,z+1/2'
loop_
_atom_site_label
_atom_site_type_symbol
_atom_site_fract_x
_atom_site_fract_y
_atom_site_fract_z
Tl1 Tl 0.0780 0.6334 0.0971
Pb1 Pb 0.2500 0.2500 0.2110
Se1 Se 0.0790 0.5790 0.7500
Se2 Se 0.2500 0.2500 0.4960
```

***

Diffraction record for TaHgW2. The XRD peak list is computed, not measured: it uses DFT lattice parameters and positions (GGA-PBE) and Cu Ka.
Neutral-atom scattering factors, no anomalous dispersion.

Principal peaks in the range 2θ = 5–70°, sorted by position:
hkl	d [Å]	2θ/deg	I/Imax
0 1 3	2.540	35.34	1
1 1 2	2.333	38.59	100
0 2 0	2.290	39.35	47
2 0 0	1.682	54.55	9
0 2 4	1.619	56.86	16
1 0 5	1.609	57.28	1
2 2 0	1.356	69.31	18

Crystal structure
```
data_TaHgW2
_cell_length_a 3.3645
_cell_length_b 4.5815
_cell_length_c 9.1560
_cell_angle_alpha 90.00
_cell_angle_beta 90.00
_cell_angle_gamma 90.00
_symmetry_space_group_name_H-M 'I m m m'
_symmetry_Int_Tables_number 71
_symmetry_space_group_name_Hall '-I 2 2'
loop_
_atom_site_label
_atom_site_type_symbol
_atom_site_fract_x
_atom_site_fract_y
_atom_site_fract_z
Ta1 Ta 0.0000 0.0000 0.0000
Hg1 Hg 0.0000 0.0000 0.5000
W1 W 0.0000 0.5000 0.2619
```